[1]
NdMnSi2Rh: simulated powder XRD pattern (copper Kα), based on a DFT-relaxed cell (PBE, Alexandria).
No peak broadening, texture or thermal motion is included.

Structure:
```
data_NdMnSi2Rh
_chemical_formula_sum 'Nd2 Mn2 Si4 Rh2'
_symmetry_space_group_name_H-M 'I -4 m 2'
_symmetry_Int_Tables_number 119
_symmetry_space_group_name_Hall 'I -4 -2'
_cell_length_a 4.060
_cell_length_b 4.060
_cell_length_c 10.320
_cell_angle_alpha 90.00
_cell_angle_beta 90.00
_cell_angle_gamma 90.00
loop_
_atom_site_label
_atom_site_type_symbol
_atom_site_fract_x
_atom_site_fract_y
_atom_site_fract_z
Nd1 Nd 0.000 0.000 0.000
Mn1 Mn 0.000 0.500 0.250
Si1 Si 0.000 0.000 0.379
Rh1 Rh 0.000 0.500 0.750
```

Most intense lines, 2θ = 10–80°, in order of rising 2θ:
| hkl | 2θ (°) | d [Å] | Rel. int. |
| --- | --- | --- | --- |
| 1 0 1 | 23.5 | 3.778 | 39 |
| 1 0 3 | 34.2 | 2.624 | 42 |
| 0 0 4 | 34.8 | 2.580 | 18 |
| 1 1 2 | 35.8 | 2.509 | 100 |
| 2 0 0 | 44.6 | 2.030 | 37 |
| 2 1 3 | 57.4 | 1.606 | 19 |
| 1 1 6 | 63.0 | 1.475 | 17 |
| 3 1 2 | 76.5 | 1.246 | 21 |

---

[2]
CsLaS2N: simulated powder XRD pattern (copper Kα), based on a DFT-relaxed cell (PBE, Alexandria).
No peak broadening, texture or thermal motion is included.

Structure:
```
data_CsLaS2N
_chemical_formula_sum 'Cs1 La1 S2 N1'
_symmetry_space_group_name_H-M 'P 4/m m m'
_symmetry_Int_Tables_number 123
_symmetry_space_group_name_Hall '-P 4 2'
_cell_length_a 5.675
_cell_length_b 5.675
_cell_length_c 5.100
_cell_angle_alpha 90.00
_cell_angle_beta 90.00
_cell_angle_gamma 90.00
loop_
_atom_site_label
_atom_site_type_symbol
_atom_site_fract_x
_atom_site_fract_y
_atom_site_fract_z
Cs1 Cs 0.000 0.000 0.000
La1 La 0.500 0.500 0.500
S1 S 0.000 0.500 0.500
N1 N 0.500 0.500 0.000
```

Most intense lines, 2θ = 10–80°, in order of rising 2θ:
| hkl | 2θ (°) | d [Å] | Rel. int. |
| --- | --- | --- | --- |
| 1 1 0 | 22.2 | 4.013 | 40 |
| 1 0 1 | 23.5 | 3.793 | 100 |
| 2 0 0 | 31.5 | 2.838 | 45 |
| 0 0 2 | 35.2 | 2.550 | 17 |
| 2 1 1 | 39.7 | 2.272 | 51 |
| 1 1 2 | 42.0 | 2.152 | 16 |
| 2 2 0 | 45.2 | 2.006 | 16 |
| 2 0 2 | 48.0 | 1.897 | 26 |

---

[3]
RbMg3In9: simulated powder XRD pattern (copper Kα), based on a DFT-relaxed cell (PBE, Alexandria).
No peak broadening, texture or thermal motion is included.

Structure:
```
data_RbMg3In9
_chemical_formula_sum 'Rb2 Mg6 In18'
_symmetry_space_group_name_H-M 'C 1 2/m 1'
_symmetry_Int_Tables_number 12
_symmetry_space_group_name_Hall '-C 2y'
_cell_length_a 6.169
_cell_length_b 15.387
_cell_length_c 8.073
_cell_angle_alpha 90.00
_cell_angle_beta 111.92
_cell_angle_gamma 90.00
loop_
_atom_site_label
_atom_site_type_symbol
_atom_site_fract_x
_atom_site_fract_y
_atom_site_fract_z
Rb1 Rb 0.000 0.000 0.000
Mg1 Mg 0.000 0.000 0.500
Mg2 Mg 0.250 0.250 0.000
In1 In 0.000 0.500 0.500
In2 In 0.117 0.390 0.218
In3 In 0.170 0.178 0.351
```

Most intense lines, 2θ = 10–80°, in order of rising 2θ:
| hkl | 2θ (°) | d [Å] | Rel. int. |
| --- | --- | --- | --- |
| 1 3 1 | 28.8 | 3.104 | 53 |
| 2 0 -1 | 28.9 | 3.085 | 91 |
| 1 5 -1 | 33.1 | 2.708 | 100 |
| 0 4 2 | 33.4 | 2.683 | 96 |
| 2 2 -2 | 33.6 | 2.665 | 62 |
| 1 1 -3 | 33.9 | 2.645 | 60 |
| 2 4 -1 | 37.4 | 2.407 | 72 |
| 2 0 1 | 37.6 | 2.392 | 54 |

---

[4]
LiLa4Sm3Te8: simulated powder XRD pattern (copper Kα), based on a DFT-relaxed cell (PBE, Alexandria).
No peak broadening, texture or thermal motion is included.

Structure:
```
data_LiLa4Sm3Te8
_chemical_formula_sum 'Li3 La12 Sm9 Te24'
_symmetry_space_group_name_H-M 'R -3 m'
_symmetry_Int_Tables_number 166
_symmetry_space_group_name_Hall '-R 3 2"'
_cell_length_a 9.0154
_cell_length_b 9.0154
_cell_length_c 21.9783
_cell_angle_alpha 90.00
_cell_angle_beta 90.00
_cell_angle_gamma 120.00
loop_
_atom_site_label
_atom_site_type_symbol
_atom_site_fract_x
_atom_site_fract_y
_atom_site_fract_z
Li1 Li 0.0000 0.0000 0.0000
La1 La 0.0000 0.0000 0.5000
La2 La 0.0000 0.5000 0.5000
Sm1 Sm 0.0000 0.5000 0.0000
Te1 Te 0.0000 0.0000 0.2529
Te2 Te 0.0080 0.5040 0.7450
```

Most intense lines, 2θ = 10–80°, in order of rising 2θ:
| hkl | 2θ (°) | d [Å] | Rel. int. |
| --- | --- | --- | --- |
| 0 2 4 | 28.0 | 3.182 | 100 |
| 2 2 0 | 40.0 | 2.254 | 39 |
| 2 0 8 | 40.1 | 2.247 | 37 |
| 4 0 4 | 49.6 | 1.839 | 21 |
| 0 4 8 | 58.0 | 1.591 | 13 |
| 2 4 4 | 65.5 | 1.425 | 18 |
| 2 2 12 | 65.7 | 1.421 | 17 |
| 6 0 0 | 72.7 | 1.300 | 19 |

---

[5]
Ac2ZnPd5Pt2: simulated powder XRD pattern (copper Kα), based on a DFT-relaxed cell (PBE, Alexandria).
No peak broadening, texture or thermal motion is included.

Structure:
```
data_Ac2ZnPd5Pt2
_chemical_formula_sum 'Ac4 Zn2 Pd10 Pt4'
_symmetry_space_group_name_H-M 'P 4/m b m'
_symmetry_Int_Tables_number 127
_symmetry_space_group_name_Hall '-P 4 2ab'
_cell_length_a 9.890
_cell_length_b 9.890
_cell_length_c 4.110
_cell_angle_alpha 90.00
_cell_angle_beta 90.00
_cell_angle_gamma 90.00
loop_
_atom_site_label
_atom_site_type_symbol
_atom_site_fract_x
_atom_site_fract_y
_atom_site_fract_z
Ac1 Ac 0.172 0.328 0.000
Zn1 Zn 0.000 0.000 0.000
Pd1 Pd 0.000 0.500 0.500
Pd2 Pd 0.060 0.807 0.500
Pt1 Pt 0.127 0.627 0.000
```

Most intense lines, 2θ = 10–80°, in order of rising 2θ:
| hkl | 2θ (°) | d [Å] | Rel. int. |
| --- | --- | --- | --- |
| 1 1 0 | 12.7 | 6.994 | 18 |
| 3 1 1 | 36.1 | 2.489 | 100 |
| 4 1 0 | 37.5 | 2.399 | 34 |
| 3 3 0 | 38.6 | 2.331 | 28 |
| 3 2 1 | 39.5 | 2.282 | 37 |
| 4 0 1 | 42.7 | 2.119 | 23 |
| 0 0 2 | 44.1 | 2.055 | 28 |
| 4 1 2 | 59.2 | 1.561 | 18 |

---

[6]
CaNp4O12: simulated powder XRD pattern (copper Kα), based on a DFT-relaxed cell (PBE, Alexandria).
No peak broadening, texture or thermal motion is included.

Structure:
```
data_CaNp4O12
_chemical_formula_sum 'Ca2 Np8 O24'
_symmetry_space_group_name_H-M 'I m m m'
_symmetry_Int_Tables_number 71
_symmetry_space_group_name_Hall '-I 2 2'
_cell_length_a 8.108
_cell_length_b 8.279
_cell_length_c 8.281
_cell_angle_alpha 90.00
_cell_angle_beta 90.00
_cell_angle_gamma 90.00
loop_
_atom_site_label
_atom_site_type_symbol
_atom_site_fract_x
_atom_site_fract_y
_atom_site_fract_z
Ca1 Ca 0.000 0.000 0.000
Np1 Np 0.250 0.250 0.250
O1 O 0.000 0.288 0.288
O2 O 0.196 0.000 0.241
O3 O 0.196 0.239 0.000
```

Most intense lines, 2θ = 10–80°, in order of rising 2θ:
| hkl | 2θ (°) | d [Å] | Rel. int. |
| --- | --- | --- | --- |
| 0 2 0 | 21.5 | 4.140 | 100 |
| 2 0 0 | 21.9 | 4.054 | 45 |
| 0 2 2 | 30.5 | 2.927 | 37 |
| 2 2 0 | 30.9 | 2.896 | 75 |
| 2 2 2 | 37.9 | 2.373 | 29 |
| 0 0 4 | 43.7 | 2.070 | 23 |
| 2 4 0 | 49.4 | 1.844 | 23 |
| 2 4 2 | 54.5 | 1.684 | 34 |

---

[7]
Tl2TcBr6: simulated powder XRD pattern (copper Kα), based on a DFT-relaxed cell (PBE, Alexandria).
No peak broadening, texture or thermal motion is included.

Structure:
```
data_Tl2TcBr6
_chemical_formula_sum 'Tl8 Tc4 Br24'
_symmetry_space_group_name_H-M 'F m -3 m'
_symmetry_Int_Tables_number 225
_symmetry_space_group_name_Hall '-F 4 2 3'
_cell_length_a 10.533
_cell_length_b 10.533
_cell_length_c 10.533
_cell_angle_alpha 90.00
_cell_angle_beta 90.00
_cell_angle_gamma 90.00
loop_
_atom_site_label
_atom_site_type_symbol
_atom_site_fract_x
_atom_site_fract_y
_atom_site_fract_z
Tl1 Tl 0.250 0.250 0.250
Tc1 Tc 0.000 0.000 0.000
Br1 Br 0.000 0.000 0.240
```

Most intense lines, 2θ = 10–80°, in order of rising 2θ:
| hkl | 2θ (°) | d [Å] | Rel. int. |
| --- | --- | --- | --- |
| 2 2 0 | 23.9 | 3.724 | 45 |
| 2 2 2 | 29.4 | 3.041 | 100 |
| 4 0 0 | 34.0 | 2.633 | 80 |
| 4 2 2 | 42.0 | 2.150 | 21 |
| 4 4 0 | 48.9 | 1.862 | 56 |
| 6 2 2 | 58.1 | 1.588 | 42 |
| 4 4 4 | 60.9 | 1.520 | 19 |
| 6 6 2 | 79.3 | 1.208 | 17 |

---

[8]
K8PbSe6: simulated powder XRD pattern (copper Kα), based on a DFT-relaxed cell (PBE, Alexandria).
No peak broadening, texture or thermal motion is included.

Structure:
```
data_K8PbSe6
_chemical_formula_sum 'K16 Pb2 Se12'
_symmetry_space_group_name_H-M 'P m n 21'
_symmetry_Int_Tables_number 31
_symmetry_space_group_name_Hall 'P 2ac -2'
_cell_length_a 10.008
_cell_length_b 8.983
_cell_length_c 12.512
_cell_angle_alpha 90.00
_cell_angle_beta 90.00
_cell_angle_gamma 90.00
loop_
_atom_site_label
_atom_site_type_symbol
_atom_site_fract_x
_atom_site_fract_y
_atom_site_fract_z
K1 K 0.000 0.143 0.000
K2 K 0.000 0.189 0.514
K3 K 0.173 0.514 0.154
K4 K 0.180 0.685 0.854
K5 K 0.194 0.935 0.235
Pb1 Pb 0.000 0.687 0.543
Se1 Se 0.000 0.229 0.262
Se2 Se 0.000 0.460 0.685
Se3 Se 0.000 0.787 0.054
Se4 Se 0.000 0.917 0.682
Se5 Se 0.221 0.670 0.425
```

Most intense lines, 2θ = 10–80°, in order of rising 2θ:
| hkl | 2θ (°) | d [Å] | Rel. int. |
| --- | --- | --- | --- |
| 1 0 1 | 11.3 | 7.815 | 72 |
| 0 1 1 | 12.1 | 7.297 | 72 |
| 1 1 0 | 13.2 | 6.685 | 71 |
| 1 1 2 | 19.4 | 4.568 | 84 |
| 2 0 2 | 22.8 | 3.906 | 100 |
| 0 2 2 | 24.4 | 3.648 | 63 |
| 3 1 2 | 32.0 | 2.797 | 81 |
| 2 2 3 | 34.4 | 2.608 | 84 |

---

What is the formula in the fifth record? Ac2ZnPd5Pt2